1.
LiNi2S3O12: theoretical X-ray diffraction stick pattern (Cu Kα), based on a structure optimized by DFT (PBE+U).
Lines closer than 0.1° are merged.

Unit cell a=8.6798 b=8.6798 c=8.6798 alpha=59.43 beta=59.43 gamma=59.43
Fractional positions:
Li1 0.0000 0.0000 0.0000
Li2 0.5000 0.5000 0.5000
Ni1 0.1444 0.1444 0.1444
Ni2 0.3556 0.3556 0.3556
Ni3 0.6444 0.6444 0.6444
Ni4 0.8556 0.8556 0.8556
S1 0.0444 0.7500 0.4556
S2 0.2500 0.5444 0.9556
S3 0.4556 0.0444 0.7500
S4 0.5444 0.9556 0.2500
S5 0.7500 0.4556 0.0444
S6 0.9556 0.2500 0.5444
O1 0.0087 0.8095 0.6041
O2 0.0632 0.9075 0.2665
O3 0.0925 0.7335 0.9368
O4 0.1041 0.3095 0.5087
O5 0.1905 0.3959 0.9913
O6 0.2335 0.5925 0.4368
O7 0.2665 0.0632 0.9075
O8 0.3095 0.5087 0.1041
O9 0.3959 0.9913 0.1905
O10 0.4075 0.5632 0.7665
O11 0.4368 0.2335 0.5925
O12 0.4913 0.8959 0.6905
O13 0.5087 0.1041 0.3095
O14 0.5632 0.7665 0.4075
O15 0.5925 0.4368 0.2335
O16 0.6041 0.0087 0.8095
O17 0.6905 0.4913 0.8959
O18 0.7335 0.9368 0.0925
O19 0.7665 0.4075 0.5632
O20 0.8095 0.6041 0.0087
O21 0.8959 0.6905 0.4913
O22 0.9075 0.2665 0.0632
O23 0.9368 0.0925 0.7335
O24 0.9913 0.1905 0.3959

Peak list (10 most intense, 5 to 70 degrees two-theta, by intensity)
2θ/deg  I/Imax
24.17  100
20.47  46
32.66  36
29.23  30
20.64  26
36.16  23
56.57  22
14.50  21
36.05  19
49.51  15

=====

2.
LiNiS2O8: theoretical X-ray diffraction stick pattern (Cu Kα), based on a structure optimized by DFT (PBE+U).
Lines closer than 0.1° are merged.

Unit cell a=8.4232 b=8.4506 c=8.9852 alpha=62.30 beta=62.38 gamma=60.15
Fractional positions:
Li1 0.0000 0.0000 0.0000
Li2 0.0193 0.6180 0.0794
Li3 0.6108 0.2643 0.0775
Ni1 0.1934 0.1983 0.3841
Ni2 0.4798 0.4919 0.5162
Ni3 0.6857 0.6962 0.9004
S1 0.0856 0.8024 0.6946
S2 0.3020 0.5928 0.1970
S3 0.3842 0.0952 0.6961
S4 0.5867 0.8827 0.1951
S5 0.7948 0.3959 0.6946
S6 0.8758 0.3126 0.1993
O1 0.0718 0.2261 0.2143
O2 0.1068 0.8078 0.8487
O3 0.1370 0.9508 0.5314
O4 0.1791 0.7934 0.1468
O5 0.1972 0.1251 0.8364
O6 0.2126 0.6066 0.6784
O7 0.2165 0.4659 0.2074
O8 0.3273 0.5346 0.3691
O9 0.3613 0.1424 0.5243
O10 0.4692 0.0830 0.2072
O11 0.4694 0.2218 0.6815
O12 0.4959 0.5504 0.0577
O13 0.5149 0.8912 0.7384
O14 0.5267 0.7455 0.3660
O15 0.5518 0.8737 0.0511
O16 0.5978 0.4809 0.6788
O17 0.7316 0.3405 0.3685
O18 0.7929 0.8470 0.1497
O19 0.8007 0.2155 0.8466
O20 0.8237 0.5292 0.7362
O21 0.8399 0.1945 0.1470
O22 0.8666 0.5054 0.0573
O23 0.8819 0.8330 0.7338
O24 0.9437 0.3612 0.5304

Peak list (10 most intense, 5 to 70 degrees two-theta, by intensity)
2θ/deg  I/Imax
24.09  100
14.40  76
24.21  48
31.67  42
19.74  36
29.00  31
12.71  26
31.83  21
19.85  19
29.11  16